This entry pairs a crystal structure of La4Nd2Bi3H2 with its calculated XRD peak list. Radiation: Cu Kα (weighted mean of Kα1 and Kα2). Structure: the GGA-PBE geometry in Alexandria.

Structure:
```
data_La4Nd2Bi3H2
_chemical_formula_sum 'La8 Nd4 Bi6 H4'
_cell_length_a 4.873
_cell_length_b 4.873
_cell_length_c 26.723
_cell_angle_alpha 90.00
_cell_angle_beta 90.00
_cell_angle_gamma 90.00
_symmetry_space_group_name_H-M 'I 4/m m m'
_symmetry_Int_Tables_number 139
_symmetry_space_group_name_Hall '-I 4 2'
loop_
_atom_site_label
_atom_site_type_symbol
_atom_site_fract_x
_atom_site_fract_y
_atom_site_fract_z
La1 La 0.000 0.500 0.085
Nd1 Nd 0.000 0.000 0.200
Bi1 Bi 0.000 0.000 0.323
Bi2 Bi 0.000 0.000 0.500
H1 H 0.000 0.000 0.108
```

Peak list (10 most intense, 2θ = 15–90°, low angle first)
- 18.51 deg, I 23, hkl 1 0 1
- 26.71 deg, I 45, hkl 0 0 8
- 29.16 deg, I 20, hkl 1 1 4
- 29.73 deg, I 19, hkl 1 0 7
- 32.86 deg, I 100, hkl 1 1 6
- 36.89 deg, I 52, hkl 2 0 0
- 41.55 deg, I 16, hkl 1 0 11
- 50.70 deg, I 15, hkl 2 0 10
- 53.16 deg, I 18, hkl 2 2 0
- 63.92 deg, I 30, hkl 3 1 6

---

This entry pairs a crystal structure of LaBiH6Rh3 with its calculated XRD peak list. Radiation: Cu Kα (weighted mean of Kα1 and Kα2). Structure: the GGA-PBE geometry in Alexandria.

Structure:
```
data_LaBiH6Rh3
_chemical_formula_sum 'La3 Bi3 H18 Rh9'
_cell_length_a 7.4486
_cell_length_b 7.4486
_cell_length_c 8.3148
_cell_angle_alpha 90.00
_cell_angle_beta 90.00
_cell_angle_gamma 120.00
_symmetry_space_group_name_H-M 'R 3'
_symmetry_Int_Tables_number 146
_symmetry_space_group_name_Hall 'R 3'
loop_
_atom_site_label
_atom_site_type_symbol
_atom_site_fract_x
_atom_site_fract_y
_atom_site_fract_z
La1 La 0.0000 0.0000 0.0000
Bi1 Bi 0.0000 0.0000 0.4063
H1 H 0.0113 0.4067 0.5221
H2 H 0.0301 0.8125 0.7357
Rh1 Rh 0.1173 0.4138 0.3311
```

Peak list (10 most intense, 2θ = 15–90°, low angle first)
- 17.40 deg, I 28, hkl 1 0 1
- 23.89 deg, I 100, hkl 1 1 0
- 32.30 deg, I 45, hkl 0 0 3
- 35.22 deg, I 70, hkl 2 0 2
- 38.48 deg, I 61, hkl 3 -1 1
- 40.57 deg, I 43, hkl 1 1 3
- 42.02 deg, I 34, hkl 3 0 0
- 43.01 deg, I 85, hkl 1 2 2
- 66.41 deg, I 31, hkl 4 1 0
- 75.80 deg, I 27, hkl 4 1 3

---

This entry pairs a crystal structure of La2Sc2Bi2H with its calculated XRD peak list. Radiation: Cu Kα (weighted mean of Kα1 and Kα2). Structure: the GGA-PBE geometry in Alexandria.

Structure:
```
data_La2Sc2Bi2H
_chemical_formula_sum 'La4 Sc4 Bi4 H2'
_cell_length_a 4.571
_cell_length_b 4.571
_cell_length_c 17.089
_cell_angle_alpha 90.00
_cell_angle_beta 90.00
_cell_angle_gamma 90.00
_symmetry_space_group_name_H-M 'I 4/m m m'
_symmetry_Int_Tables_number 139
_symmetry_space_group_name_Hall '-I 4 2'
loop_
_atom_site_label
_atom_site_type_symbol
_atom_site_fract_x
_atom_site_fract_y
_atom_site_fract_z
La1 La 0.000 0.000 0.175
Sc1 Sc 0.000 0.500 0.000
Bi1 Bi 0.000 0.000 0.374
H1 H 0.000 0.000 0.000
```

Peak list (10 most intense, 2θ = 15–90°, low angle first)
- 20.11 deg, I 30, hkl 1 0 1
- 20.79 deg, I 42, hkl 0 0 4
- 27.60 deg, I 95, hkl 1 1 0
- 29.55 deg, I 29, hkl 1 1 2
- 32.72 deg, I 80, hkl 1 0 5
- 34.80 deg, I 100, hkl 1 1 4
- 39.43 deg, I 63, hkl 2 0 0
- 52.15 deg, I 70, hkl 1 0 9
- 67.30 deg, I 34, hkl 2 1 9
- 68.53 deg, I 28, hkl 3 1 4

---

This entry pairs a crystal structure of La2Sm2Bi2H with its calculated XRD peak list. Radiation: Cu Kα (weighted mean of Kα1 and Kα2). Structure: the GGA-PBE geometry in Alexandria.

Structure:
```
data_La2Sm2Bi2H
_chemical_formula_sum 'La4 Sm4 Bi4 H2'
_cell_length_a 4.708
_cell_length_b 4.708
_cell_length_c 18.057
_cell_angle_alpha 90.00
_cell_angle_beta 90.00
_cell_angle_gamma 90.00
_symmetry_space_group_name_H-M 'I 4/m m m'
_symmetry_Int_Tables_number 139
_symmetry_space_group_name_Hall '-I 4 2'
loop_
_atom_site_label
_atom_site_type_symbol
_atom_site_fract_x
_atom_site_fract_y
_atom_site_fract_z
La1 La 0.000 0.000 0.178
Sm1 Sm 0.000 0.500 0.000
Bi1 Bi 0.000 0.000 0.366
H1 H 0.000 0.000 0.000
```

Peak list (10 most intense, 2θ = 15–90°, low angle first)
- 26.78 deg, I 23, hkl 1 1 0
- 28.58 deg, I 68, hkl 1 1 2
- 29.69 deg, I 28, hkl 0 0 6
- 31.21 deg, I 35, hkl 1 0 5
- 33.44 deg, I 100, hkl 1 1 4
- 38.23 deg, I 58, hkl 2 0 0
- 39.87 deg, I 20, hkl 0 0 8
- 49.14 deg, I 27, hkl 2 0 6
- 55.18 deg, I 20, hkl 2 2 0
- 66.08 deg, I 29, hkl 3 1 4

---

This entry pairs a crystal structure of La2BiTeH2 with its calculated XRD peak list. Radiation: Cu Kα (weighted mean of Kα1 and Kα2). Structure: the GGA-PBE geometry in Alexandria.

Structure:
```
data_La2BiTeH2
_chemical_formula_sum 'La2 Bi1 Te1 H2'
_cell_length_a 4.9584
_cell_length_b 4.9584
_cell_length_c 6.7372
_cell_angle_alpha 90.00
_cell_angle_beta 90.00
_cell_angle_gamma 120.00
_symmetry_space_group_name_H-M 'P -3 m 1'
_symmetry_Int_Tables_number 164
_symmetry_space_group_name_Hall '-P 3 2"'
loop_
_atom_site_label
_atom_site_type_symbol
_atom_site_fract_x
_atom_site_fract_y
_atom_site_fract_z
La1 La 0.3333 0.6667 0.2151
Bi1 Bi 0.0000 0.0000 0.5000
Te1 Te 0.0000 0.0000 0.0000
H1 H 0.3333 0.6667 0.8627
```

Peak list (10 most intense, 2θ = 15–90°, low angle first)
- 20.68 deg, I 28, hkl 1 0 0
- 24.58 deg, I 68, hkl 1 0 1
- 33.82 deg, I 100, hkl 0 1 2
- 36.23 deg, I 71, hkl 1 1 0
- 44.28 deg, I 14, hkl 0 2 1
- 50.40 deg, I 33, hkl 2 0 2
- 63.64 deg, I 33, hkl 1 2 2
- 65.17 deg, I 13, hkl 3 0 0
- 67.19 deg, I 16, hkl 1 1 4
- 86.72 deg, I 15, hkl 3 1 2

---

This entry pairs a crystal structure of Li4BiH with its calculated XRD peak list. Radiation: Cu Kα (weighted mean of Kα1 and Kα2). Structure: the GGA-PBE geometry in Alexandria.

Structure:
```
data_Li4BiH
_chemical_formula_sum 'Li8 Bi2 H2'
_cell_length_a 8.465
_cell_length_b 4.909
_cell_length_c 5.753
_cell_angle_alpha 90.00
_cell_angle_beta 121.95
_cell_angle_gamma 90.00
_symmetry_space_group_name_H-M 'C 1 2 1'
_symmetry_Int_Tables_number 5
loop_
_symmetry_equiv_pos_as_xyz
'x,y,z'
'-x,y,-z'
'x+1/2,y+1/2,z'
'-x+1/2,y+1/2,-z'
loop_
_atom_site_label
_atom_site_type_symbol
_atom_site_fract_x
_atom_site_fract_y
_atom_site_fract_z
Li1 Li 0.106 0.000 0.330
Li2 Li 0.185 0.393 0.083
Bi1 Bi 0.000 0.521 0.500
H1 H 0.000 0.145 0.000
```

Peak list (10 most intense, 2θ = 15–90°, low angle first)
- 18.17 deg, I 77, hkl 0 0 1
- 21.61 deg, I 51, hkl 2 0 -1
- 21.93 deg, I 100, hkl 1 1 0
- 23.99 deg, I 84, hkl 1 1 -1
- 24.79 deg, I 39, hkl 2 0 0
- 32.66 deg, I 38, hkl 1 1 1
- 36.78 deg, I 50, hkl 3 1 -1
- 36.88 deg, I 34, hkl 1 1 -2
- 40.62 deg, I 22, hkl 3 1 -2
- 41.16 deg, I 23, hkl 0 2 1